Entry 1:
Diffraction record for Co2IrAu. The PXRD pattern is computed, not measured: it uses a DFT-relaxed cell (PBE, Alexandria) and CuKα.

Structure:
```
Co2IrAu
1.0
2.7168 0.0000 0.0000
0.0000 2.7168 0.0000
0.0000 0.0000 7.4395
Co Ir Au
2 1 1
Direct
0.0000 0.0000 0.0000 Co
0.5000 0.5000 0.2064 Co
0.0000 0.0000 0.4377 Ir
0.5000 0.5000 0.7340 Au
```

Main lines, in order of rising 2θ (2θ = 5–70°):
2theta, I/Imax
11.90, 33
23.92, 3
35.17, 36
36.22, 15
41.14, 100
47.32, 37
48.97, 16
60.31, 4
61.01, 14
69.15, 12



Entry 2:
Diffraction record for Ho3Er2Tm2. The PXRD pattern is computed, not measured: it uses a DFT-relaxed cell (PBE, Alexandria) and CuKα.

Structure:
```
Ho3Er2Tm2
1.0
5.8050 -1.7479 0.0000
5.8050 1.7479 0.0000
-1.0810 0.0000 10.4603
Ho Er Tm
3 2 2
Direct
0.0000 0.0000 0.0000 Ho
0.1427 0.1427 0.5713 Ho
0.8573 0.8573 0.4287 Ho
0.2854 0.2854 0.1428 Er
0.7146 0.7146 0.8572 Er
0.4286 0.4286 0.7142 Tm
0.5714 0.5714 0.2858 Tm
```

Main lines, in order of rising 2θ (2θ = 5–70°):
2theta, I/Imax
31.30, 100
36.22, 17
36.33, 34
52.26, 30
52.34, 6
62.10, 14
62.25, 28
65.30, 12



Entry 3:
Diffraction record for TbNd6Sm. The PXRD pattern is computed, not measured: it uses a DFT-relaxed cell (PBE, Alexandria) and CuKα.

Structure:
```
TbNd6Sm
1.0
0.0000 5.1548 7.3338
3.6758 0.0000 7.3338
3.6758 5.1548 0.0000
Tb Nd Sm
1 6 1
Direct
0.0000 0.0000 0.0000 Tb
0.1238 0.1238 0.3762 Nd
0.2497 0.2497 0.7503 Nd
0.3762 0.3762 0.1238 Nd
0.6238 0.6238 0.8762 Nd
0.7503 0.7503 0.2497 Nd
0.8762 0.8762 0.6238 Nd
0.5000 0.5000 0.5000 Sm
```

Main lines, in order of rising 2θ (2θ = 5–70°):
2theta, I/Imax
29.88, 100
34.55, 34
34.81, 17
49.60, 6
49.73, 6
49.86, 24
59.05, 29
59.39, 14
62.02, 6
62.13, 6



Entry 4:
Diffraction record for GdTi. The PXRD pattern is computed, not measured: it uses a DFT-relaxed cell (PBE, Alexandria) and CuKα.

Structure:
```
GdTi
1.0
3.4189 0.0000 0.0000
0.0000 3.6827 0.0000
-1.7056 0.0000 8.1235
Gd Ti
2 2
Direct
0.0945 0.2500 0.1877 Gd
0.9055 0.7500 0.8123 Gd
0.2842 0.2500 0.5687 Ti
0.7158 0.7500 0.4313 Ti
```

Main lines, in order of rising 2θ (2θ = 5–70°):
2theta, I/Imax
21.88, 17
26.61, 100
32.83, 42
33.08, 24
36.28, 54
38.21, 50
39.63, 31
53.84, 17
60.83, 19
64.22, 27



Entry 5:
Diffraction record for BaLi4Cu2. The PXRD pattern is computed, not measured: it uses a DFT-relaxed cell (PBE, Alexandria) and CuKα.

Structure:
```
BaLi4Cu2
1.0
2.1805 -7.9973 0.0000
2.1805 7.9973 0.0000
0.0000 0.0000 4.3578
Ba Li Cu
1 4 2
Direct
0.0000 0.0000 0.0000 Ba
0.1875 0.8125 0.5000 Li
0.3176 0.6824 0.0000 Li
0.6824 0.3176 0.0000 Li
0.8125 0.1875 0.5000 Li
0.4196 0.5804 0.5000 Cu
0.5804 0.4196 0.5000 Cu
```

Main lines, in order of rising 2θ (2θ = 5–70°):
2theta, I/Imax
11.06, 100
26.40, 12
29.51, 69
30.34, 19
33.58, 20
34.78, 22
39.63, 19
41.43, 19
43.01, 15
44.78, 12



Entry 6:
Diffraction record for HoSe2. The PXRD pattern is computed, not measured: it uses a DFT-relaxed cell (PBE, Alexandria) and CuKα.

Structure:
```
HoSe2
1.0
4.0557 0.0000 0.0000
0.0000 4.0557 0.0000
0.0000 0.0000 8.3214
Ho Se
2 4
Direct
0.2500 0.2500 0.2264 Ho
0.7500 0.7500 0.7736 Ho
0.2500 0.2500 0.8703 Se
0.2500 0.7500 0.5000 Se
0.7500 0.2500 0.5000 Se
0.7500 0.7500 0.1297 Se
```

Main lines, in order of rising 2θ (2θ = 5–70°):
2theta, I/Imax
24.42, 58
31.19, 39
32.27, 30
33.04, 64
38.11, 100
39.35, 62
44.69, 57
56.19, 25
61.04, 34
65.05, 19